1.
For YHo6In2, a PBE-relaxed structure gives the simulated X-ray powder pattern in this record (Cu Ka).
No peak broadening, texture or thermal motion is included.

Principal peaks in the range 2θ = 15–90°, in order of rising 2θ:
2theta  Rel. int.
26.97  10
31.77  98
32.81  88
33.05  100
45.20  12
45.89  14
48.92  16
51.31  10
57.11  22
57.55  26
59.51  32
86.65  9

```
data_YHo6In2
_chemical_formula_sum 'Y2 Ho12 In4'
_cell_length_a 12.6710
_cell_length_b 3.7240
_cell_length_c 11.8651
_cell_angle_alpha 90.00
_cell_angle_beta 108.20
_cell_angle_gamma 90.00
_symmetry_space_group_name_H-M 'C 1 2/m 1'
_symmetry_Int_Tables_number 12
loop_
_symmetry_equiv_pos_as_xyz
'x,y,z'
'-x,-y,-z'
'-x,y,-z'
'x,-y,z'
'x+1/2,y+1/2,z'
'-x+1/2,-y+1/2,-z'
'-x+1/2,y+1/2,-z'
'x+1/2,-y+1/2,z'
loop_
_atom_site_label
_atom_site_fract_x
_atom_site_fract_y
_atom_site_fract_z
_atom_site_occupancy
Y1 0.0000 0.0000 0.0000 1
Ho1 0.0147 0.0000 0.3425 1
Ho2 0.1841 0.5000 0.8761 1
Ho3 0.1893 0.5000 0.5839 1
In1 0.1437 0.5000 0.2073 1
```

***

2.
For Y8Ho5In, a PBE-relaxed structure gives the simulated X-ray powder pattern in this record (Cu Ka).
No peak broadening, texture or thermal motion is included.

Principal peaks in the range 2θ = 15–90°, in order of rising 2θ:
2theta  Rel. int.
21.76  24
27.35  34
27.70  48
32.34  20
32.64  100
33.38  37
34.24  26
34.59  49
44.59  18
50.25  18
55.72  18
57.87  17

```
data_Y8Ho5In
_chemical_formula_sum 'Y16 Ho10 In2'
_cell_length_a 10.4766
_cell_length_b 10.4766
_cell_length_c 8.3315
_cell_angle_alpha 90.00
_cell_angle_beta 90.00
_cell_angle_gamma 90.00
_symmetry_space_group_name_H-M 'I -4 m 2'
_symmetry_Int_Tables_number 119
_symmetry_space_group_name_Hall 'I -4 -2'
loop_
_atom_site_label
_atom_site_fract_x
_atom_site_fract_y
_atom_site_fract_z
_atom_site_occupancy
Y1 0.0000 0.1608 0.1712 1
Y2 0.2082 0.2082 0.5000 1
Ho1 0.0000 0.3077 0.8399 1
Ho2 0.0000 0.5000 0.2500 1
In1 0.0000 0.0000 0.5000 1
```